Starting from a GGA-PBE-relaxed structure, the powder XRD pattern of NpCu2O6F was simulated for a wavelength of 1.5418 Å.
No peak broadening, texture or thermal motion is included.

Atomic structure:
```
data_NpCu2O6F
_chemical_formula_sum 'Np4 Cu8 O24 F4'
_cell_length_a 11.453
_cell_length_b 9.485
_cell_length_c 5.291
_cell_angle_alpha 90.00
_cell_angle_beta 105.00
_cell_angle_gamma 90.00
_symmetry_space_group_name_H-M 'C 1 2/c 1'
_symmetry_Int_Tables_number 15
loop_
_symmetry_equiv_pos_as_xyz
'x,y,z'
'-x,-y,-z'
'-x,y,-z+1/2'
'x,-y,z+1/2'
'x+1/2,y+1/2,z'
'-x+1/2,-y+1/2,-z'
'-x+1/2,y+1/2,-z+1/2'
'x+1/2,-y+1/2,z+1/2'
loop_
_atom_site_label
_atom_site_type_symbol
_atom_site_fract_x
_atom_site_fract_y
_atom_site_fract_z
Np1 Np 0.000 0.245 0.250
Cu1 Cu 0.136 0.120 0.788
O1 O 0.108 0.043 0.452
O2 O 0.118 0.282 0.591
O3 O 0.134 0.233 0.075
F1 F 0.000 0.462 0.250
```

Main lines, sorted by position (2θ = 10–90°):
2θ = 16.02°, rel. 100, (2 0 0)
2θ = 18.71°, rel. 71, (0 2 0)
2θ = 19.53°, rel. 55, (1 1 -1)
2θ = 22.98°, rel. 53, (1 1 1)
2θ = 24.73°, rel. 53, (2 2 0)
2θ = 27.56°, rel. 95, (3 1 -1)

Starting from a GGA-PBE-relaxed structure, the powder XRD pattern of NpTl2Cu3F12 was simulated for a wavelength of 1.5418 Å.
No peak broadening, texture or thermal motion is included.

Atomic structure:
```
data_NpTl2Cu3F12
_chemical_formula_sum 'Np3 Tl6 Cu9 F36'
_cell_length_a 7.2098
_cell_length_b 7.2098
_cell_length_c 22.0876
_cell_angle_alpha 90.00
_cell_angle_beta 90.00
_cell_angle_gamma 120.00
_symmetry_space_group_name_H-M 'R -3 m'
_symmetry_Int_Tables_number 166
_symmetry_space_group_name_Hall '-R 3 2"'
loop_
_atom_site_label
_atom_site_type_symbol
_atom_site_fract_x
_atom_site_fract_y
_atom_site_fract_z
Np1 Np 0.0000 0.0000 0.0000
Tl1 Tl 0.0000 0.0000 0.4187
Cu1 Cu 0.0000 0.5000 0.5000
F1 F 0.0574 0.5287 0.6119
F2 F 0.0637 0.5318 0.8509
```

Main lines, sorted by position (2θ = 10–90°):
2θ = 16.31°, rel. 55, (0 1 2)
2θ = 24.69°, rel. 100, (0 1 5)
2θ = 29.74°, rel. 39, (2 0 2)
2θ = 31.77°, rel. 30, (1 0 7)
2θ = 43.47°, rel. 31, (1 2 5)
2θ = 50.64°, rel. 28, (2 2 0)

Starting from a GGA-PBE-relaxed structure, the powder XRD pattern of NpTlCu2F8 was simulated for a wavelength of 1.5418 Å.
No peak broadening, texture or thermal motion is included.

Atomic structure:
```
data_NpTlCu2F8
_chemical_formula_sum 'Np3 Tl3 Cu6 F24'
_cell_length_a 5.1796
_cell_length_b 5.1796
_cell_length_c 24.6709
_cell_angle_alpha 90.00
_cell_angle_beta 90.00
_cell_angle_gamma 120.00
_symmetry_space_group_name_H-M 'R -3'
_symmetry_Int_Tables_number 148
_symmetry_space_group_name_Hall '-R 3'
loop_
_atom_site_label
_atom_site_type_symbol
_atom_site_fract_x
_atom_site_fract_y
_atom_site_fract_z
Np1 Np 0.0000 0.0000 0.0000
Tl1 Tl 0.0000 0.0000 0.5000
Cu1 Cu 0.0000 0.0000 0.2290
F1 F 0.0000 0.0000 0.1535
F2 F 0.0120 0.6544 0.3845
```

Main lines, sorted by position (2θ = 10–90°):
2θ = 21.07°, rel. 38, (0 1 2)
2θ = 24.54°, rel. 100, (1 0 4)
2θ = 34.64°, rel. 45, (1 1 0)
2θ = 35.32°, rel. 35, (0 1 8)
2θ = 41.19°, rel. 30, (1 1 6)
2θ = 42.91°, rel. 21, (0 2 4)

Starting from a GGA-PBE-relaxed structure, the powder XRD pattern of Cu6OF11 was simulated for a wavelength of 1.5418 Å.
No peak broadening, texture or thermal motion is included.

Atomic structure:
```
data_Cu6OF11
_chemical_formula_sum 'Cu6 O1 F11'
_cell_length_a 5.689
_cell_length_b 5.895
_cell_length_c 7.177
_cell_angle_alpha 73.49
_cell_angle_beta 71.63
_cell_angle_gamma 67.64
_symmetry_space_group_name_H-M 'P 1'
_symmetry_Int_Tables_number 1
loop_
_symmetry_equiv_pos_as_xyz
'x,y,z'
loop_
_atom_site_label
_atom_site_type_symbol
_atom_site_fract_x
_atom_site_fract_y
_atom_site_fract_z
Cu1 Cu 0.000 0.000 0.000
Cu2 Cu 0.012 0.010 0.490
Cu3 Cu 0.305 0.385 0.156
Cu4 Cu 0.332 0.348 0.660
Cu5 Cu 0.675 0.675 0.824
Cu6 Cu 0.694 0.681 0.316
O1 O 0.023 0.675 0.161
F1 F 0.086 0.112 0.202
F2 F 0.234 0.286 0.445
F3 F 0.334 0.728 0.476
F4 F 0.371 0.970 0.827
F5 F 0.405 0.456 0.865
F6 F 0.595 0.607 0.115
F7 F 0.615 0.102 0.143
F8 F 0.695 0.293 0.508
F9 F 0.772 0.751 0.531
F10 F 0.923 0.907 0.780
F11 F 0.973 0.362 0.826
```

Main lines, sorted by position (2θ = 10–90°):
2θ = 26.88°, rel. 100, (1 1 2)
2θ = 27.70°, rel. 93, (1 -1 0)
2θ = 32.41°, rel. 49, (1 2 0)
2θ = 33.66°, rel. 38, (2 1 0)
2θ = 34.16°, rel. 32, (0 1 -2)
2θ = 57.17°, rel. 37, (2 2 -2)

Starting from a GGA-PBE-relaxed structure, the powder XRD pattern of Cu6OF11 was simulated for a wavelength of 1.5418 Å.
No peak broadening, texture or thermal motion is included.

Atomic structure:
```
data_Cu6OF11
_chemical_formula_sum 'Cu6 O1 F11'
_cell_length_a 4.621
_cell_length_b 4.642
_cell_length_c 9.882
_cell_angle_alpha 83.37
_cell_angle_beta 88.83
_cell_angle_gamma 88.08
_symmetry_space_group_name_H-M 'P 1'
_symmetry_Int_Tables_number 1
loop_
_symmetry_equiv_pos_as_xyz
'x,y,z'
loop_
_atom_site_label
_atom_site_type_symbol
_atom_site_fract_x
_atom_site_fract_y
_atom_site_fract_z
Cu1 Cu 0.000 0.000 0.000
Cu2 Cu 0.001 0.009 0.338
Cu3 Cu 0.496 0.514 0.513
Cu4 Cu 0.500 0.507 0.823
Cu5 Cu 0.502 0.501 0.165
Cu6 Cu 0.961 0.052 0.671
O1 O 0.668 0.332 0.668
F1 F 0.176 0.245 0.522
F2 F 0.199 0.219 0.853
F3 F 0.206 0.213 0.184
F4 F 0.258 0.751 0.684
F5 F 0.302 0.700 0.005
F6 F 0.304 0.717 0.353
F7 F 0.697 0.300 0.322
F8 F 0.705 0.299 0.987
F9 F 0.771 0.825 0.820
F10 F 0.789 0.806 0.488
F11 F 0.797 0.791 0.151
```

Main lines, sorted by position (2θ = 10–90°):
2θ = 26.90°, rel. 100, (1 1 0)
2θ = 27.77°, rel. 92, (1 -1 0)
2θ = 31.67°, rel. 58, (0 1 3)
2θ = 33.30°, rel. 39, (1 0 3)
2θ = 33.84°, rel. 32, (1 0 -3)
2θ = 35.43°, rel. 23, (0 1 -3)

Starting from a GGA-PBE-relaxed structure, the powder XRD pattern of Cu3OF5 was simulated for a wavelength of 1.5418 Å.
No peak broadening, texture or thermal motion is included.

Atomic structure:
```
data_Cu3OF5
_chemical_formula_sum 'Cu6 O2 F10'
_cell_length_a 5.711
_cell_length_b 4.688
_cell_length_c 7.638
_cell_angle_alpha 90.00
_cell_angle_beta 91.46
_cell_angle_gamma 90.00
_symmetry_space_group_name_H-M 'P 1 21 1'
_symmetry_Int_Tables_number 4
loop_
_symmetry_equiv_pos_as_xyz
'x,y,z'
'-x,y+1/2,-z'
loop_
_atom_site_label
_atom_site_type_symbol
_atom_site_fract_x
_atom_site_fract_y
_atom_site_fract_z
Cu1 Cu 0.078 0.000 0.326
Cu2 Cu 0.254 0.498 0.988
Cu3 Cu 0.394 0.957 0.669
O1 O 0.203 0.667 0.771
F1 F 0.092 0.791 0.101
F2 F 0.112 0.179 0.561
F3 F 0.296 0.303 0.217
F4 F 0.380 0.785 0.429
F5 F 0.410 0.186 0.889
```

Main lines, sorted by position (2θ = 10–90°):
2θ = 27.07°, rel. 100, (1 1 -1)
2θ = 33.80°, rel. 21, (2 0 1)
2θ = 34.40°, rel. 30, (1 1 2)
2θ = 51.86°, rel. 17, (3 1 0)
2θ = 55.82°, rel. 17, (2 2 -2)
2θ = 66.89°, rel. 17, (1 3 2)

Starting from a GGA-PBE-relaxed structure, the powder XRD pattern of Cu3OF5 was simulated for a wavelength of 1.5418 Å.
No peak broadening, texture or thermal motion is included.

Atomic structure:
```
data_Cu3OF5
_chemical_formula_sum 'Cu12 O4 F20'
_cell_length_a 8.904
_cell_length_b 6.774
_cell_length_c 7.136
_cell_angle_alpha 90.00
_cell_angle_beta 109.80
_cell_angle_gamma 90.00
_symmetry_space_group_name_H-M 'C 1 2/m 1'
_symmetry_Int_Tables_number 12
loop_
_symmetry_equiv_pos_as_xyz
'x,y,z'
'-x,-y,-z'
'-x,y,-z'
'x,-y,z'
'x+1/2,y+1/2,z'
'-x+1/2,-y+1/2,-z'
'-x+1/2,y+1/2,-z'
'x+1/2,-y+1/2,z'
loop_
_atom_site_label
_atom_site_type_symbol
_atom_site_fract_x
_atom_site_fract_y
_atom_site_fract_z
Cu1 Cu 0.000 0.000 0.000
Cu2 Cu 0.000 0.000 0.500
Cu3 Cu 0.162 0.500 0.169
Cu4 Cu 0.188 0.500 0.660
O1 O 0.088 0.000 0.292
F1 F 0.000 0.307 0.000
F2 F 0.048 0.500 0.360
F3 F 0.179 0.199 0.664
F4 F 0.232 0.000 0.029
```

Main lines, sorted by position (2θ = 10–90°):
2θ = 26.31°, rel. 100, (0 2 0)
2θ = 27.87°, rel. 86, (2 0 -2)
2θ = 34.61°, rel. 61, (1 1 2)
2θ = 34.75°, rel. 53, (3 1 0)
2θ = 52.04°, rel. 66, (1 3 2)
2θ = 53.66°, rel. 28, (1 1 -4)

Starting from a GGA-PBE-relaxed structure, the powder XRD pattern of Cu3OF5 was simulated for a wavelength of 1.5418 Å.
No peak broadening, texture or thermal motion is included.

Atomic structure:
```
data_Cu3OF5
_chemical_formula_sum 'Cu6 O2 F10'
_cell_length_a 5.428
_cell_length_b 5.647
_cell_length_c 7.744
_cell_angle_alpha 73.49
_cell_angle_beta 71.38
_cell_angle_gamma 70.41
_symmetry_space_group_name_H-M 'P -1'
_symmetry_Int_Tables_number 2
loop_
_symmetry_equiv_pos_as_xyz
'x,y,z'
'-x,-y,-z'
loop_
_atom_site_label
_atom_site_type_symbol
_atom_site_fract_x
_atom_site_fract_y
_atom_site_fract_z
Cu1 Cu 0.000 0.000 0.000
Cu2 Cu 0.000 0.000 0.500
Cu3 Cu 0.307 0.386 0.171
Cu4 Cu 0.317 0.324 0.681
O1 O 0.014 0.674 0.151
F1 F 0.094 0.143 0.228
F2 F 0.210 0.238 0.502
F3 F 0.327 0.719 0.478
F4 F 0.371 0.905 0.856
F5 F 0.445 0.419 0.850
```

Main lines, sorted by position (2θ = 10–90°):
2θ = 25.98°, rel. 100, (1 1 2)
2θ = 27.99°, rel. 79, (1 -1 0)
2θ = 32.94°, rel. 41, (0 1 -2)
2θ = 34.25°, rel. 29, (1 0 -2)
2θ = 34.29°, rel. 29, (1 2 0)
2θ = 53.44°, rel. 32, (2 2 4)

Starting from a GGA-PBE-relaxed structure, the powder XRD pattern of Cu6OF11 was simulated for a wavelength of 1.5418 Å.
No peak broadening, texture or thermal motion is included.

Atomic structure:
```
data_Cu6OF11
_chemical_formula_sum 'Cu6 O1 F11'
_cell_length_a 5.553
_cell_length_b 5.713
_cell_length_c 7.231
_cell_angle_alpha 74.89
_cell_angle_beta 73.26
_cell_angle_gamma 72.93
_symmetry_space_group_name_H-M 'P 1'
_symmetry_Int_Tables_number 1
loop_
_symmetry_equiv_pos_as_xyz
'x,y,z'
loop_
_atom_site_label
_atom_site_type_symbol
_atom_site_fract_x
_atom_site_fract_y
_atom_site_fract_z
Cu1 Cu 0.000 0.000 0.000
Cu2 Cu 0.005 0.000 0.525
Cu3 Cu 0.316 0.309 0.678
Cu4 Cu 0.330 0.332 0.182
Cu5 Cu 0.659 0.659 0.847
Cu6 Cu 0.666 0.670 0.351
O1 O 0.102 0.085 0.718
F1 F 0.016 0.610 0.691
F2 F 0.234 0.224 0.985
F3 F 0.303 0.695 0.012
F4 F 0.363 0.966 0.358
F5 F 0.435 0.434 0.379
F6 F 0.549 0.552 0.648
F7 F 0.641 0.025 0.677
F8 F 0.692 0.298 0.017
F9 F 0.760 0.769 0.051
F10 F 0.906 0.910 0.313
F11 F 0.970 0.383 0.342
```

Main lines, sorted by position (2θ = 10–90°):
2θ = 26.64°, rel. 100, (1 -1 0)
2θ = 27.43°, rel. 93, (1 1 2)
2θ = 33.85°, rel. 69, (0 1 -2)
2θ = 34.79°, rel. 55, (1 0 -2)
2θ = 51.14°, rel. 34, (1 -2 2)
2θ = 53.16°, rel. 33, (-2 1 2)

Starting from a GGA-PBE-relaxed structure, the powder XRD pattern of CuOF4 was simulated for a wavelength of 1.5418 Å.
No peak broadening, texture or thermal motion is included.

Atomic structure:
```
data_CuOF4
_chemical_formula_sum 'Cu2 O2 F8'
_cell_length_a 5.115
_cell_length_b 5.492
_cell_length_c 6.564
_cell_angle_alpha 100.36
_cell_angle_beta 93.38
_cell_angle_gamma 115.91
_symmetry_space_group_name_H-M 'P -1'
_symmetry_Int_Tables_number 2
loop_
_symmetry_equiv_pos_as_xyz
'x,y,z'
'-x,-y,-z'
loop_
_atom_site_label
_atom_site_type_symbol
_atom_site_fract_x
_atom_site_fract_y
_atom_site_fract_z
Cu1 Cu 0.213 0.438 0.384
O1 O 0.199 0.087 0.211
F1 F 0.108 0.523 0.151
F2 F 0.184 0.756 0.570
F3 F 0.299 0.125 0.025
F4 F 0.368 0.356 0.622
```

Main lines, sorted by position (2θ = 10–90°):
2θ = 13.88°, rel. 74, (0 0 1)
2θ = 18.45°, rel. 74, (0 1 0)
2θ = 20.43°, rel. 100, (0 1 -1)
2θ = 22.18°, rel. 29, (1 0 -1)
2θ = 25.78°, rel. 28, (1 0 1)
2θ = 38.37°, rel. 53, (-1 2 1)

Starting from a GGA-PBE-relaxed structure, the powder XRD pattern of Cu6OF11 was simulated for a wavelength of 1.5418 Å.
No peak broadening, texture or thermal motion is included.

Atomic structure:
```
data_Cu6OF11
_chemical_formula_sum 'Cu6 O1 F11'
_cell_length_a 3.220
_cell_length_b 4.646
_cell_length_c 14.057
_cell_angle_alpha 88.14
_cell_angle_beta 84.14
_cell_angle_gamma 88.83
_symmetry_space_group_name_H-M 'P 1'
_symmetry_Int_Tables_number 1
loop_
_symmetry_equiv_pos_as_xyz
'x,y,z'
loop_
_atom_site_label
_atom_site_type_symbol
_atom_site_fract_x
_atom_site_fract_y
_atom_site_fract_z
Cu1 Cu 0.000 0.000 0.000
Cu2 Cu 0.001 0.944 0.678
Cu3 Cu 0.477 0.486 0.172
Cu4 Cu 0.494 0.459 0.509
Cu5 Cu 0.532 0.439 0.850
Cu6 Cu 0.977 0.974 0.341
O1 O 0.508 0.162 0.945
F1 F 0.013 0.689 0.242
F2 F 0.034 0.662 0.579
F3 F 0.084 0.654 0.913
F4 F 0.439 0.184 0.273
F5 F 0.452 0.156 0.608
F6 F 0.507 0.794 0.074
F7 F 0.513 0.763 0.410
F8 F 0.550 0.728 0.748
F9 F 0.958 0.294 0.108
F10 F 0.961 0.258 0.441
F11 F 0.969 0.230 0.776
```

Main lines, sorted by position (2θ = 10–90°):
2θ = 26.69°, rel. 100, (0 1 3)
2θ = 27.53°, rel. 90, (0 1 -3)
2θ = 32.27°, rel. 50, (1 0 3)
2θ = 33.72°, rel. 37, (1 1 0)
2θ = 34.28°, rel. 31, (1 -1 0)
2θ = 54.99°, rel. 34, (0 2 6)

- What is the formula in the fourth record?
  Cu6OF11